[1]
Structure and theoretical X-ray diffraction stick pattern of Tm4Ga3Ru (DFT lattice parameters and positions (GGA-PBE); Cu Ka).
Lines closer than 0.1° are merged.

Atomic structure:
```
8
Lattice="3.462 0.000 0.000 0.000 3.462 0.000 0.000 0.000 14.146" Properties=species:S:1:pos:R:3 pbc="T T T"
Tm 0.000 0.000 1.606
Tm 0.000 0.000 5.244
Tm 0.000 0.000 8.902
Tm 0.000 0.000 12.541
Ga 1.731 1.731 3.445
Ga 1.731 1.731 7.073
Ga 1.731 1.731 10.701
Ru 1.731 1.731 0.000
```

Peak list (6 most intense, 5 to 70 degrees two-theta, by intensity)
36.3 deg, I 100
36.7 deg, I 50
65.8 deg, I 35
52.9 deg, I 18
65.1 deg, I 16
25.7 deg, I 15

***

[2]
Structure and theoretical X-ray diffraction stick pattern of U4Ga6Ru7 (DFT lattice parameters and positions (GGA-PBE); Cu Ka).
Lines closer than 0.1° are merged.

Atomic structure:
```
17
Lattice="-4.154 4.154 4.154 4.154 -4.154 4.154 4.154 4.154 -4.154" Properties=species:S:1:pos:R:3 pbc="T T T"
U 2.077 2.077 -2.077
U 2.077 -2.077 2.077
U -2.077 2.077 2.077
U 2.077 2.077 2.077
Ga 2.539 0.000 0.000
Ga 5.768 0.000 0.000
Ga 0.000 2.539 0.000
Ga 0.000 0.000 2.539
Ga 0.000 5.768 0.000
Ga 0.000 0.000 5.768
Ru 0.000 0.000 0.000
Ru 4.154 2.077 0.000
Ru 4.154 0.000 2.077
Ru 2.077 4.154 0.000
Ru 2.077 0.000 4.154
Ru 0.000 4.154 2.077
Ru 0.000 2.077 4.154
```

Peak list (6 most intense, 5 to 70 degrees two-theta, by intensity)
37.5 deg, I 100
43.6 deg, I 60
30.4 deg, I 44
63.3 deg, I 35
21.4 deg, I 16
49.0 deg, I 14

***

[3]
Structure and theoretical X-ray diffraction stick pattern of UGa2Ru4 (DFT lattice parameters and positions (GGA-PBE); Cu Ka).
Lines closer than 0.1° are merged.

Atomic structure:
```
14
Lattice="6.116 0.000 0.000 0.000 8.794 0.000 0.000 0.000 4.270" Properties=species:S:1:pos:R:3 pbc="T T T"
U 0.000 0.000 0.000
U 3.058 4.397 0.000
Ga 0.000 2.305 2.135
Ga 0.000 6.489 2.135
Ga 3.058 2.092 2.135
Ga 3.058 6.702 2.135
Ru 1.503 4.397 2.135
Ru 1.529 2.199 0.000
Ru 1.529 6.596 0.000
Ru 1.555 0.000 2.135
Ru 4.561 0.000 2.135
Ru 4.587 2.199 0.000
Ru 4.587 6.596 0.000
Ru 4.613 4.397 2.135
```

Peak list (6 most intense, 5 to 70 degrees two-theta, by intensity)
41.7 deg, I 100
17.7 deg, I 30
27.4 deg, I 29
41.1 deg, I 26
42.3 deg, I 24
60.4 deg, I 16

***

[4]
Structure and theoretical X-ray diffraction stick pattern of VGa5Ru6 (DFT lattice parameters and positions (GGA-PBE); Cu Ka).
Lines closer than 0.1° are merged.

Atomic structure:
```
12
Lattice="-2.140 3.025 6.409 2.140 -3.025 6.409 2.140 3.025 -6.409" Properties=species:S:1:pos:R:3 pbc="T T T"
V 0.000 0.000 0.000
Ga 2.140 0.000 2.066
Ga 0.000 0.000 4.254
Ga 0.000 3.025 0.000
Ga 0.000 0.000 8.564
Ga 0.000 3.025 4.343
Ru 2.140 -1.503 4.274
Ru 2.140 1.528 0.000
Ru 0.000 1.522 2.136
Ru 2.140 1.503 4.274
Ru 0.000 1.497 6.409
Ru 0.000 4.528 2.136
```

Peak list (5 most intense, 5 to 70 degrees two-theta, by intensity)
42.3 deg, I 100
61.3 deg, I 16
29.5 deg, I 5
69.5 deg, I 1
52.4 deg, I 1

***

[5]
Structure and theoretical X-ray diffraction stick pattern of V3GaRu3 (DFT lattice parameters and positions (GGA-PBE); Cu Ka).
Lines closer than 0.1° are merged.

Atomic structure:
```
14
Lattice="4.125 -4.243 0.000 4.125 4.243 0.000 0.000 0.000 5.870" Properties=species:S:1:pos:R:3 pbc="T T T"
V 4.125 2.326 0.000
V 1.992 0.000 0.000
V 4.125 2.072 2.935
V 4.125 -2.072 2.935
V 6.258 0.000 0.000
V 4.125 -2.326 0.000
Ga 1.763 0.000 2.935
Ga 6.487 0.000 2.935
Ru 2.062 2.121 1.442
Ru 2.062 2.121 4.428
Ru 2.062 -2.121 1.442
Ru 2.062 -2.121 4.428
Ru 4.125 0.000 1.430
Ru 4.125 0.000 4.440
```

Peak list (6 most intense, 5 to 70 degrees two-theta, by intensity)
43.4 deg, I 100
42.6 deg, I 27
43.9 deg, I 22
15.0 deg, I 17
62.8 deg, I 14
34.1 deg, I 12

***

[6]
Structure and theoretical X-ray diffraction stick pattern of V3Ga2Ru3 (DFT lattice parameters and positions (GGA-PBE); Cu Ka).
Lines closer than 0.1° are merged.

Atomic structure:
```
8
Lattice="2.130 1.230 6.966 -2.130 1.230 6.966 0.000 -2.460 6.966" Properties=species:S:1:pos:R:3 pbc="T T T"
V 0.000 0.000 0.000
V 0.000 0.000 2.581
V 0.000 0.000 10.443
Ga 0.000 0.000 5.209
Ga 0.000 0.000 15.635
Ru 0.000 0.000 7.852
Ru 0.000 0.000 13.040
Ru 0.000 0.000 18.198
```

Peak list (6 most intense, 5 to 70 degrees two-theta, by intensity)
42.4 deg, I 100
61.5 deg, I 16
29.6 deg, I 5
25.6 deg, I 3
24.5 deg, I 2
50.2 deg, I 2

***

[7]
Structure and theoretical X-ray diffraction stick pattern of Ga2Ru3W (DFT lattice parameters and positions (GGA-PBE); Cu Ka).
Lines closer than 0.1° are merged.

Atomic structure:
```
6
Lattice="3.059 0.000 0.000 0.000 3.059 0.000 0.000 0.000 9.199" Properties=species:S:1:pos:R:3 pbc="T T T"
Ga 0.000 0.000 1.447
Ga 0.000 0.000 7.752
Ru 1.530 1.530 0.000
Ru 1.530 1.530 3.033
Ru 1.530 1.530 6.165
W 0.000 0.000 4.599
```

Peak list (6 most intense, 5 to 70 degrees two-theta, by intensity)
41.7 deg, I 100
9.6 deg, I 12
60.5 deg, I 11
60.4 deg, I 5
35.2 deg, I 5
30.8 deg, I 4

***

[8]
Structure and theoretical X-ray diffraction stick pattern of Y4Ga3Ru (DFT lattice parameters and positions (GGA-PBE); Cu Ka).
Lines closer than 0.1° are merged.

Atomic structure:
```
8
Lattice="4.164 0.000 0.000 0.000 4.199 0.000 0.000 0.000 10.700" Properties=species:S:1:pos:R:3 pbc="T T T"
Y 0.000 0.000 0.000
Y 0.000 2.099 5.148
Y 2.082 0.000 7.537
Y 2.082 2.099 2.241
Ga 0.000 2.099 8.259
Ga 2.082 0.000 4.469
Ga 2.082 2.099 9.851
Ru 0.000 0.000 2.954
```

Peak list (6 most intense, 5 to 70 degrees two-theta, by intensity)
31.4 deg, I 100
39.6 deg, I 67
32.9 deg, I 36
40.1 deg, I 30
43.1 deg, I 27
43.5 deg, I 26